Entry 1:
For KNaTb2Br8, DFT lattice parameters and positions (GGA-PBE) gives the calculated PXRD pattern in this record (Cu Kα).

Top 10 peaks for 2θ from 15° to 90°, sorted by position:
| 2θ (°) | intensity |
| --- | --- |
| 16.8 | 63 |
| 18.2 | 31 |
| 26.6 | 100 |
| 28.4 | 45 |
| 34.3 | 61 |
| 35.9 | 25 |
| 36.9 | 26 |
| 41.6 | 27 |
| 42.5 | 48 |
| 46.7 | 30 |

Cell: 7.0299 8.6820 7.3564 Å, 90.00 94.78 90.00°
Atoms (fractional coordinates):
K 0.0000 0.0000 0.0000
Na 0.0000 0.5000 0.0000
Tb 0.5000 0.2539 0.5000
Tb 0.5000 0.7461 0.5000
Br 0.2537 0.2674 0.1868
Br 0.2537 0.7326 0.1868
Br 0.2850 0.5000 0.6467
Br 0.2910 0.0000 0.6401
Br 0.7090 0.0000 0.3599
Br 0.7150 0.5000 0.3533
Br 0.7463 0.2674 0.8132
Br 0.7463 0.7326 0.8132

---

Entry 2:
For Tl2Au2S5, DFT lattice parameters and positions (GGA-PBE) gives the calculated PXRD pattern in this record (Cu Kα).

Top 10 peaks for 2θ from 15° to 90°, sorted by position:
| 2θ (°) | intensity |
| --- | --- |
| 21.4 | 69 |
| 23.7 | 100 |
| 29.1 | 23 |
| 31.1 | 77 |
| 33.1 | 40 |
| 34.6 | 21 |
| 34.8 | 18 |
| 37.8 | 25 |
| 43.9 | 24 |
| 48.8 | 25 |

Cell: 10.3922 10.3922 6.1625 Å, 92.32 92.32 132.73°
Atoms (fractional coordinates):
Tl 0.1340 0.8660 0.0000
Tl 0.3124 0.5937 0.9455
Tl 0.5937 0.3124 0.9455
Tl 0.8660 0.1340 0.0000
Au 0.2061 0.7065 0.3763
Au 0.5141 0.5141 0.6152
Au 0.7065 0.2061 0.3763
Au 0.9362 0.9362 0.3541
S 0.0176 0.1971 0.5416
S 0.1971 0.0176 0.5416
S 0.2420 0.4283 0.4600
S 0.4283 0.2420 0.4600
S 0.5068 0.9552 0.7863
S 0.5146 0.9097 0.4520
S 0.6900 0.6900 0.1353
S 0.7690 0.7690 0.8202
S 0.9097 0.5146 0.4520
S 0.9552 0.5068 0.7863

---

Entry 3:
For Nb6CrRe, DFT lattice parameters and positions (GGA-PBE) gives the calculated PXRD pattern in this record (Cu Kα).

Top 10 peaks for 2θ from 15° to 90°, sorted by position:
| 2θ (°) | intensity |
| --- | --- |
| 20.6 | 12 |
| 28.3 | 7 |
| 39.2 | 100 |
| 39.6 | 51 |
| 56.1 | 8 |
| 57.2 | 18 |
| 70.8 | 16 |
| 71.6 | 33 |
| 84.3 | 10 |
| 85.3 | 6 |

Cell: 7.3084 7.3084 7.3084 Å, 143.70 143.70 52.28°
Atoms (fractional coordinates):
Nb 0.1189 0.6189 0.5000
Nb 0.2482 0.2482 0.0000
Nb 0.3811 0.8811 0.5000
Nb 0.6189 0.1189 0.5000
Nb 0.7518 0.7518 0.0000
Nb 0.8811 0.3811 0.5000
Cr 0.0000 0.0000 0.0000
Re 0.5000 0.5000 0.0000

---

Entry 4:
For BaSn5Hg7, DFT lattice parameters and positions (GGA-PBE) gives the calculated PXRD pattern in this record (Cu Kα).

Top 10 peaks for 2θ from 15° to 90°, sorted by position:
| 2θ (°) | intensity |
| --- | --- |
| 27.1 | 74 |
| 28.1 | 77 |
| 31.8 | 52 |
| 33.0 | 100 |
| 33.2 | 70 |
| 34.6 | 46 |
| 36.1 | 66 |
| 36.6 | 57 |
| 37.4 | 43 |
| 38.4 | 59 |

Cell: 8.1653 8.1653 6.5785 Å, 113.03 113.03 83.45°
Atoms (fractional coordinates):
Ba 0.0000 0.0000 0.0000
Sn 0.0184 0.5115 0.0135
Sn 0.0204 0.5100 0.5160
Sn 0.5100 0.0204 0.5160
Sn 0.5115 0.0184 0.0135
Sn 0.7700 0.7700 0.2739
Hg 0.2049 0.8209 0.5110
Hg 0.2378 0.2378 0.7395
Hg 0.3575 0.3575 0.3491
Hg 0.3609 0.6633 0.0077
Hg 0.6405 0.6405 0.6438
Hg 0.6633 0.3609 0.0077
Hg 0.8209 0.2049 0.5110